Computed XRD peak list
Compound: Pr2Nd2I5N
Radiation: Cu Kα X-rays
Structure: a GGA-PBE-relaxed structure
Kinematic intensities with the Lorentz-polarization factor, no thermal factor.

The 10 most intense peaks (10 to 90 degrees two-theta), sorted by position:
10.24°, I = 22.2; 27.00°, I = 15.7; 28.55°, I = 42.3; 29.39°, I = 20.6; 29.89°, I = 100.0; 32.52°, I = 33.6; 40.71°, I = 14.7; 41.72°, I = 25.5; 41.89°, I = 25.2; 44.77°, I = 18.5

Atomic structure:
```
Pr2Nd2I5N
1.0
9.626 -2.024 0.000
9.626 2.024 0.000
-1.989 0.000 8.638
Pr Nd I N
2 2 5 1
Cartesian
-0.586 0.000 2.652
17.849 0.000 5.986
6.241 0.000 3.753
11.022 0.000 4.886
1.505 0.000 7.298
2.654 0.000 2.770
9.626 0.000 0.000
14.609 0.000 5.869
15.758 0.000 1.340
8.632 0.000 4.319
```